Starting from a GGA-PBE-relaxed structure, the X-ray diffraction stick pattern of Bi3SbTe2 was calculated for Cu Ka.

Structural model:
a = 8.1243 Å, b = 8.1243 Å, c = 7.5974 Å
α = 100.42°, β = 100.42°, γ = 120.26°
Sites, in units of the cell vectors:
Bi 0.0000 0.5000 0.0000
Bi 0.1604 0.3193 0.4986
Bi 0.3193 0.1604 0.9986
Bi 0.5000 0.0000 0.5000
Bi 0.6807 0.8396 0.0014
Bi 0.8396 0.6807 0.5014
Sb 0.0836 0.9164 0.2500
Sb 0.9164 0.0836 0.7500
Te 0.2483 0.7517 0.7500
Te 0.4162 0.5838 0.2500
Te 0.5838 0.4162 0.7500
Te 0.7517 0.2483 0.2500

Largest 10 diffraction maxima, low angle first, 2θ = 10–80°:
| 2theta | d/Å | I/Imax |
| --- | --- | --- |
| 27.60 | 3.231 | 50.5 |
| 27.71 | 3.219 | 100.0 |
| 38.33 | 2.348 | 21.3 |
| 38.49 | 2.339 | 41.8 |
| 40.51 | 2.227 | 36.8 |
| 40.82 | 2.211 | 17.9 |
| 47.88 | 1.900 | 22.6 |
| 48.28 | 1.885 | 11.7 |
| 57.23 | 1.610 | 13.3 |
| 70.78 | 1.331 | 14.2 |

---

Starting from a GGA-PBE-relaxed structure, the X-ray diffraction stick pattern of Th4BiSb2Te was calculated for Cu Ka.

Structural model:
a = 7.8331 Å, b = 7.8331 Å, c = 7.8331 Å
α = 131.81°, β = 131.81°, γ = 70.53°
Sites, in units of the cell vectors:
Th 0.0000 0.0000 0.0000
Th 0.2426 0.7426 0.5000
Th 0.4905 0.4905 0.0000
Th 0.7469 0.2469 0.5000
Bi 0.7453 0.7453 0.0000
Sb 0.2452 0.2452 0.0000
Sb 0.9948 0.4948 0.5000
Te 0.4948 0.9948 0.5000

Largest 10 diffraction maxima, low angle first, 2θ = 10–80°:
| 2theta | d/Å | I/Imax |
| --- | --- | --- |
| 24.10 | 3.693 | 8.7 |
| 27.90 | 3.198 | 100.0 |
| 39.87 | 2.261 | 78.1 |
| 47.13 | 1.928 | 4.8 |
| 49.36 | 1.846 | 28.4 |
| 57.65 | 1.599 | 13.4 |
| 63.39 | 1.467 | 2.1 |
| 65.24 | 1.430 | 37.2 |
| 72.38 | 1.306 | 27.6 |
| 77.56 | 1.231 | 1.6 |

---

Starting from a GGA-PBE-relaxed structure, the X-ray diffraction stick pattern of Tm6BiSb2Te3 was calculated for Cu Ka.

Structural model:
a = 9.7125 Å, b = 9.7125 Å, c = 8.6708 Å
α = 102.83°, β = 102.83°, γ = 25.82°
Sites, in units of the cell vectors:
Tm 0.0038 0.0038 0.2518
Tm 0.3301 0.3301 0.4227
Tm 0.3322 0.3322 0.9060
Tm 0.6678 0.6678 0.0940
Tm 0.6699 0.6699 0.5773
Tm 0.9962 0.9962 0.7482
Bi 0.5000 0.5000 0.0000
Sb 0.1669 0.1669 0.3341
Sb 0.8331 0.8331 0.6659
Te 0.1650 0.1650 0.8336
Te 0.5000 0.5000 0.5000
Te 0.8350 0.8350 0.1664

Largest 10 diffraction maxima, low angle first, 2θ = 10–80°:
| 2theta | d/Å | I/Imax |
| --- | --- | --- |
| 25.13 | 3.544 | 1.9 |
| 29.10 | 3.069 | 100.0 |
| 41.62 | 2.170 | 75.9 |
| 51.58 | 1.772 | 27.0 |
| 60.24 | 1.536 | 4.2 |
| 60.36 | 1.534 | 8.4 |
| 68.30 | 1.373 | 17.2 |
| 68.39 | 1.372 | 17.2 |
| 75.92 | 1.253 | 17.1 |
| 76.00 | 1.252 | 8.3 |

---

Starting from a GGA-PBE-relaxed structure, the X-ray diffraction stick pattern of Th4BiSb3 was calculated for Cu Ka.

Structural model:
a = 7.8583 Å, b = 7.8583 Å, c = 4.5071 Å
α = 90.00°, β = 90.00°, γ = 109.21°
Sites, in units of the cell vectors:
Th 0.2418 0.2418 0.5000
Th 0.2459 0.7541 0.0000
Th 0.7541 0.2459 0.0000
Th 0.7582 0.7582 0.5000
Bi 0.5000 0.5000 0.0000
Sb 0.0000 0.0000 0.0000
Sb 0.0000 0.5000 0.5000
Sb 0.5000 0.0000 0.5000

Largest 10 diffraction maxima, low angle first, 2θ = 10–80°:
| 2theta | d/Å | I/Imax |
| --- | --- | --- |
| 27.86 | 3.203 | 100.0 |
| 39.60 | 2.276 | 13.1 |
| 39.80 | 2.265 | 52.0 |
| 40.01 | 2.254 | 12.9 |
| 49.11 | 1.855 | 14.2 |
| 49.45 | 1.843 | 14.1 |
| 57.56 | 1.601 | 13.4 |
| 65.13 | 1.432 | 24.7 |
| 71.99 | 1.312 | 9.1 |
| 72.53 | 1.303 | 9.1 |

---

Starting from a GGA-PBE-relaxed structure, the X-ray diffraction stick pattern of Tl5Bi2Sb4 was calculated for Cu Ka.

Structural model:
a = 13.7786 Å, b = 13.7786 Å, c = 6.6363 Å
α = 90.53°, β = 90.53°, γ = 17.26°
Sites, in units of the cell vectors:
Tl 0.0000 0.0000 0.0000
Tl 0.3155 0.3155 0.4733
Tl 0.3696 0.3696 0.0120
Tl 0.6304 0.6304 0.9880
Tl 0.6845 0.6845 0.5267
Bi 0.2236 0.2236 0.1346
Bi 0.7764 0.7764 0.8654
Sb 0.0941 0.0941 0.3751
Sb 0.4534 0.4534 0.3798
Sb 0.5466 0.5466 0.6202
Sb 0.9059 0.9059 0.6249

Largest 10 diffraction maxima, low angle first, 2θ = 10–80°:
| 2theta | d/Å | I/Imax |
| --- | --- | --- |
| 25.58 | 3.482 | 40.6 |
| 26.87 | 3.318 | 25.6 |
| 29.60 | 3.018 | 71.6 |
| 30.22 | 2.957 | 100.0 |
| 30.36 | 2.944 | 28.6 |
| 33.30 | 2.691 | 34.0 |
| 36.16 | 2.484 | 67.6 |
| 43.78 | 2.068 | 28.7 |
| 48.68 | 1.871 | 34.2 |
| 53.73 | 1.706 | 27.5 |

---

Starting from a GGA-PBE-relaxed structure, the X-ray diffraction stick pattern of Tl5BiSb was calculated for Cu Ka.

Structural model:
a = 8.5484 Å, b = 8.5484 Å, c = 8.5484 Å
α = 113.74°, β = 113.41°, γ = 101.54°
Sites, in units of the cell vectors:
Tl 0.0000 0.2429 0.2429
Tl 0.0000 0.7571 0.7571
Tl 0.2327 0.4827 0.7500
Tl 0.2862 0.2444 0.0419
Tl 0.2975 0.7556 0.5419
Tl 0.5000 0.2429 0.7429
Tl 0.5000 0.7571 0.2571
Tl 0.7025 0.2444 0.4581
Tl 0.7138 0.7556 0.9581
Tl 0.7673 0.5173 0.2500
Bi 0.0000 0.0000 0.5000
Bi 0.0000 0.5000 0.0000
Sb 0.2199 0.9699 0.2500
Sb 0.7801 0.0301 0.7500

Largest 10 diffraction maxima, low angle first, 2θ = 10–80°:
| 2theta | d/Å | I/Imax |
| --- | --- | --- |
| 22.79 | 3.902 | 11.7 |
| 29.73 | 3.005 | 10.7 |
| 31.69 | 2.823 | 100.0 |
| 32.80 | 2.730 | 11.5 |
| 33.14 | 2.703 | 22.7 |
| 38.37 | 2.346 | 13.4 |
| 38.54 | 2.336 | 16.5 |
| 51.72 | 1.767 | 13.1 |
| 58.30 | 1.583 | 16.3 |
| 65.47 | 1.426 | 12.6 |

---

Starting from a GGA-PBE-relaxed structure, the X-ray diffraction stick pattern of TlBiSb2 was calculated for Cu Ka.

Structural model:
a = 7.8059 Å, b = 7.8059 Å, c = 7.8059 Å
α = 33.34°, β = 33.34°, γ = 33.34°
Sites, in units of the cell vectors:
Tl 0.0000 0.0000 0.0000
Bi 0.5000 0.5000 0.5000
Sb 0.2506 0.2506 0.2506
Sb 0.7494 0.7494 0.7494

Largest 10 diffraction maxima, low angle first, 2θ = 10–80°:
| 2theta | d/Å | I/Imax |
| --- | --- | --- |
| 24.32 | 3.659 | 8.7 |
| 28.11 | 3.174 | 100.0 |
| 40.08 | 2.250 | 39.1 |
| 40.28 | 2.239 | 38.6 |
| 49.50 | 1.841 | 7.1 |
| 49.84 | 1.830 | 21.0 |
| 58.12 | 1.587 | 13.2 |
| 65.65 | 1.422 | 18.4 |
| 65.93 | 1.417 | 18.2 |
| 73.08 | 1.295 | 13.6 |

---

Starting from a GGA-PBE-relaxed structure, the X-ray diffraction stick pattern of Tl15BiSb4 was calculated for Cu Ka.

Structural model:
a = 4.9690 Å, b = 4.9690 Å, c = 25.0318 Å
α = 90.00°, β = 90.00°, γ = 90.00°
Sites, in units of the cell vectors:
Tl 0.0000 0.0000 0.0000
Tl 0.0000 0.0000 0.2016
Tl 0.0000 0.0000 0.4006
Tl 0.0000 0.0000 0.5994
Tl 0.0000 0.0000 0.7984
Tl 0.0000 0.5000 0.1024
Tl 0.0000 0.5000 0.3010
Tl 0.0000 0.5000 0.5000
Tl 0.0000 0.5000 0.6990
Tl 0.0000 0.5000 0.8976
Tl 0.5000 0.0000 0.1024
Tl 0.5000 0.0000 0.3010
Tl 0.5000 0.0000 0.5000
Tl 0.5000 0.0000 0.6990
Tl 0.5000 0.0000 0.8976
Bi 0.5000 0.5000 0.0000
Sb 0.5000 0.5000 0.2005
Sb 0.5000 0.5000 0.4001
Sb 0.5000 0.5000 0.5999
Sb 0.5000 0.5000 0.7995

Largest 10 diffraction maxima, low angle first, 2θ = 10–80°:
| 2theta | d/Å | I/Imax |
| --- | --- | --- |
| 31.10 | 2.876 | 100.0 |
| 35.87 | 2.503 | 17.1 |
| 36.15 | 2.485 | 33.7 |
| 51.85 | 1.763 | 24.2 |
| 52.06 | 1.757 | 12.1 |
| 61.52 | 1.507 | 14.4 |
| 61.89 | 1.499 | 28.8 |
| 64.84 | 1.438 | 12.5 |
| 76.04 | 1.252 | 1.9 |
| 76.72 | 1.242 | 3.9 |

---

Starting from a GGA-PBE-relaxed structure, the X-ray diffraction stick pattern of Tm3BiSb2 was calculated for Cu Ka.

Structural model:
a = 7.5670 Å, b = 7.5670 Å, c = 7.5569 Å
α = 99.59°, β = 99.59°, γ = 119.96°
Sites, in units of the cell vectors:
Tm 0.0000 0.5000 0.0000
Tm 0.1575 0.3283 0.4983
Tm 0.3283 0.1575 0.9983
Tm 0.5000 0.0000 0.5000
Tm 0.6717 0.8425 0.0017
Tm 0.8425 0.6717 0.5017
Bi 0.4183 0.5817 0.2500
Bi 0.5817 0.4183 0.7500
Sb 0.0837 0.9163 0.2500
Sb 0.2519 0.7481 0.7500
Sb 0.7481 0.2519 0.2500
Sb 0.9163 0.0837 0.7500

Largest 10 diffraction maxima, low angle first, 2θ = 10–80°:
| 2theta | d/Å | I/Imax |
| --- | --- | --- |
| 14.13 | 6.269 | 1.4 |
| 28.91 | 3.088 | 100.0 |
| 41.34 | 2.184 | 76.6 |
| 51.22 | 1.784 | 20.6 |
| 51.29 | 1.781 | 6.9 |
| 59.90 | 1.544 | 12.9 |
| 67.85 | 1.381 | 29.5 |
| 67.92 | 1.380 | 5.9 |
| 75.36 | 1.261 | 19.7 |
| 75.46 | 1.260 | 6.6 |

---

Starting from a GGA-PBE-relaxed structure, the X-ray diffraction stick pattern of Tm3BiSb2 was calculated for Cu Ka.

Structural model:
a = 7.5693 Å, b = 7.5693 Å, c = 7.5693 Å
α = 146.48°, β = 131.86°, γ = 59.94°
Sites, in units of the cell vectors:
Tm 0.0000 0.0000 0.0000
Tm 0.3291 0.3291 0.0000
Tm 0.6709 0.6709 0.0000
Bi 0.5000 0.0000 0.5000
Sb 0.1654 0.6654 0.5000
Sb 0.8346 0.3346 0.5000

Largest 10 diffraction maxima, low angle first, 2θ = 10–80°:
| 2theta | d/Å | I/Imax |
| --- | --- | --- |
| 13.50 | 6.557 | 1.0 |
| 15.86 | 5.587 | 1.5 |
| 21.45 | 4.142 | 1.2 |
| 28.50 | 3.132 | 1.6 |
| 28.91 | 3.089 | 100.0 |
| 41.34 | 2.184 | 76.7 |
| 51.23 | 1.783 | 27.5 |
| 59.90 | 1.544 | 12.9 |
| 67.85 | 1.381 | 35.5 |
| 75.38 | 1.261 | 26.3 |

---

Starting from a GGA-PBE-relaxed structure, the X-ray diffraction stick pattern of Tm7Bi2Sb2 was calculated for Cu Ka.

Structural model:
a = 7.0734 Å, b = 7.0734 Å, c = 6.9969 Å
α = 90.00°, β = 90.00°, γ = 98.90°
Sites, in units of the cell vectors:
Tm 0.0000 0.0000 0.0000
Tm 0.0000 0.5000 0.2647
Tm 0.0000 0.5000 0.7353
Tm 0.5000 0.0000 0.2647
Tm 0.5000 0.0000 0.7353
Tm 0.5000 0.5000 0.2602
Tm 0.5000 0.5000 0.7398
Bi 0.1937 0.1937 0.5000
Bi 0.8063 0.8063 0.5000
Sb 0.2773 0.7227 0.0000
Sb 0.7227 0.2773 0.0000

Largest 10 diffraction maxima, low angle first, 2θ = 10–80°:
| 2theta | d/Å | I/Imax |
| --- | --- | --- |
| 20.84 | 4.262 | 20.1 |
| 23.14 | 3.843 | 49.4 |
| 25.49 | 3.494 | 27.8 |
| 28.53 | 3.128 | 39.4 |
| 30.49 | 2.932 | 19.6 |
| 33.34 | 2.687 | 53.1 |
| 36.34 | 2.472 | 100.0 |
| 37.23 | 2.415 | 29.1 |
| 39.18 | 2.299 | 23.8 |
| 52.34 | 1.748 | 34.2 |

---

Starting from a GGA-PBE-relaxed structure, the X-ray diffraction stick pattern of Zr10Bi3Sb3 was calculated for Cu Ka.

Structural model:
a = 8.6225 Å, b = 8.6225 Å, c = 5.8313 Å
α = 90.00°, β = 90.00°, γ = 120.00°
Sites, in units of the cell vectors:
Zr 0.0000 0.2155 0.0000
Zr 0.0000 0.7325 0.5000
Zr 0.2155 0.0000 0.0000
Zr 0.2675 0.2675 0.5000
Zr 0.3333 0.6667 0.2569
Zr 0.3333 0.6667 0.7431
Zr 0.6667 0.3333 0.2569
Zr 0.6667 0.3333 0.7431
Zr 0.7325 0.0000 0.5000
Zr 0.7845 0.7845 0.0000
Bi 0.0000 0.5982 0.0000
Bi 0.4018 0.4018 0.0000
Bi 0.5982 0.0000 0.0000
Sb 0.0000 0.3767 0.5000
Sb 0.3767 0.0000 0.5000
Sb 0.6233 0.6233 0.5000

Largest 10 diffraction maxima, low angle first, 2θ = 10–80°:
| 2theta | d/Å | I/Imax |
| --- | --- | --- |
| 25.70 | 3.467 | 26.7 |
| 30.66 | 2.916 | 28.2 |
| 31.70 | 2.822 | 24.5 |
| 35.33 | 2.540 | 100.0 |
| 36.08 | 2.489 | 49.7 |
| 37.23 | 2.415 | 71.7 |
| 39.20 | 2.298 | 15.4 |
| 46.53 | 1.952 | 29.9 |
| 57.58 | 1.601 | 24.4 |
| 70.90 | 1.329 | 20.6 |

---

Starting from a GGA-PBE-relaxed structure, the X-ray diffraction stick pattern of Zr3BiSb was calculated for Cu Ka.

Structural model:
a = 8.0211 Å, b = 3.8674 Å, c = 8.2865 Å
α = 90.00°, β = 106.11°, γ = 90.00°
Sites, in units of the cell vectors:
Zr 0.0000 0.0000 0.0000
Zr 0.0265 0.5000 0.3075
Zr 0.3477 0.5000 0.0619
Zr 0.4349 0.5000 0.5886
Zr 0.6982 0.0000 0.3202
Zr 0.9624 0.5000 0.6280
Bi 0.2542 0.0000 0.7682
Bi 0.6953 0.5000 0.0233
Sb 0.3110 0.0000 0.3123
Sb 0.7170 0.0000 0.6849

Largest 10 diffraction maxima, low angle first, 2θ = 10–80°:
| 2theta | d/Å | I/Imax |
| --- | --- | --- |
| 26.81 | 3.325 | 29.6 |
| 29.42 | 3.036 | 28.9 |
| 32.27 | 2.774 | 70.1 |
| 32.52 | 2.754 | 44.1 |
| 33.78 | 2.654 | 37.7 |
| 34.93 | 2.569 | 36.7 |
| 36.05 | 2.491 | 100.0 |
| 36.49 | 2.462 | 32.5 |
| 36.85 | 2.439 | 46.5 |
| 46.99 | 1.934 | 40.2 |